The following is a computed powder XRD pattern of Li9Mn2Co5O16. It was derived from a structure optimized by DFT (GGA+U), using Cu Kα (weighted mean of Kα1 and Kα2).

```
data_Li9Mn2Co5O16
_space_group_name_H-M_alt 'P 1'
_space_group_IT_number 1
_cell_length_a 5.891
_cell_length_b 5.891
_cell_length_c 9.745
_cell_angle_alpha 97.57
_cell_angle_beta 97.57
_cell_angle_gamma 59.20
loop_
_space_group_symop_operation_xyz
'x,y,z'
loop_
_atom_site_label
_atom_site_fract_x
_atom_site_fract_y
_atom_site_fract_z
Li1 0.000 0.000 0.000
Li2 0.122 0.122 0.754
Li3 0.123 0.630 0.752
Li4 0.370 0.877 0.248
Li5 0.373 0.373 0.246
Li6 0.627 0.627 0.754
Li7 0.630 0.123 0.752
Li8 0.877 0.370 0.248
Li9 0.878 0.878 0.246
Mn1 0.000 0.500 0.000
Mn2 0.500 0.000 0.000
Co1 0.250 0.250 0.500
Co2 0.250 0.750 0.500
Co3 0.500 0.500 0.000
Co4 0.750 0.250 0.500
Co5 0.750 0.750 0.500
O1 0.061 0.061 0.382
O2 0.063 0.563 0.385
O3 0.193 0.660 0.106
O4 0.194 0.194 0.112
O5 0.298 0.298 0.883
O6 0.340 0.807 0.894
O7 0.437 0.937 0.615
O8 0.438 0.438 0.617
O9 0.562 0.562 0.383
O10 0.563 0.063 0.385
O11 0.660 0.193 0.106
O12 0.702 0.702 0.117
O13 0.806 0.806 0.888
O14 0.807 0.340 0.894
O15 0.937 0.437 0.615
O16 0.939 0.939 0.618
```

Principal peaks in the range 10° ≤ 2θ ≤ 90°, low angle first:
18.42 deg, I = 100.0
35.46 deg, I = 15.0
36.11 deg, I = 25.9
37.53 deg, I = 11.3
42.79 deg, I = 29.3
43.94 deg, I = 53.3
47.48 deg, I = 9.5
62.86 deg, I = 14.8
63.15 deg, I = 15.2
80.10 deg, I = 10.0


The following is a computed powder XRD pattern of BaV2SeO8. It was derived from a structure optimized by DFT (GGA+U), using Cu Kα (weighted mean of Kα1 and Kα2).

```
data_BaV2SeO8
_space_group_name_H-M_alt 'P 1'
_space_group_IT_number 1
_cell_length_a 14.192
_cell_length_b 5.462
_cell_length_c 9.236
_cell_angle_alpha 90.00
_cell_angle_beta 90.00
_cell_angle_gamma 90.00
loop_
_space_group_symop_operation_xyz
'x,y,z'
loop_
_atom_site_label
_atom_site_fract_x
_atom_site_fract_y
_atom_site_fract_z
Ba1 0.077 0.250 0.196
Ba2 0.423 0.750 0.696
Ba3 0.577 0.250 0.304
Ba4 0.923 0.750 0.804
V1 0.160 0.750 0.525
V2 0.214 0.750 0.932
V3 0.286 0.250 0.432
V4 0.340 0.250 0.025
V5 0.660 0.750 0.975
V6 0.714 0.750 0.568
V7 0.786 0.250 0.068
V8 0.840 0.250 0.475
Se1 0.102 0.250 0.779
Se2 0.398 0.750 0.279
Se3 0.602 0.250 0.721
Se4 0.898 0.750 0.221
O1 0.016 0.750 0.236
O2 0.047 0.750 0.574
O3 0.111 0.003 0.904
O4 0.111 0.497 0.904
O5 0.192 0.013 0.415
O6 0.192 0.487 0.415
O7 0.198 0.750 0.106
O8 0.224 0.750 0.681
O9 0.276 0.250 0.181
O10 0.302 0.250 0.606
O11 0.308 0.513 0.915
O12 0.308 0.987 0.915
O13 0.389 0.503 0.404
O14 0.389 0.997 0.404
O15 0.453 0.250 0.074
O16 0.484 0.250 0.736
O17 0.516 0.750 0.264
O18 0.547 0.750 0.926
O19 0.611 0.003 0.596
O20 0.611 0.497 0.596
O21 0.692 0.013 0.085
O22 0.692 0.487 0.085
O23 0.698 0.750 0.394
O24 0.724 0.750 0.819
O25 0.776 0.250 0.319
O26 0.802 0.250 0.894
O27 0.808 0.513 0.585
O28 0.808 0.987 0.585
O29 0.889 0.503 0.096
O30 0.889 0.997 0.096
O31 0.953 0.250 0.426
O32 0.984 0.250 0.764
```

Principal peaks in the range 10° ≤ 2θ ≤ 90°, low angle first:
18.88 deg, I = 14.4
20.52 deg, I = 18.0
22.98 deg, I = 36.8
26.73 deg, I = 32.6
28.26 deg, I = 100.0
29.69 deg, I = 26.5
30.03 deg, I = 56.8
32.80 deg, I = 35.8
42.96 deg, I = 32.3
55.80 deg, I = 14.4


The following is a computed powder XRD pattern of LiFeP3O9. It was derived from a structure optimized by DFT (GGA+U), using Cu Kα (weighted mean of Kα1 and Kα2).

```
data_LiFeP3O9
_space_group_name_H-M_alt 'P 1'
_space_group_IT_number 1
_cell_length_a 9.465
_cell_length_b 9.519
_cell_length_c 9.710
_cell_angle_alpha 109.24
_cell_angle_beta 104.84
_cell_angle_gamma 108.80
loop_
_space_group_symop_operation_xyz
'x,y,z'
loop_
_atom_site_label
_atom_site_fract_x
_atom_site_fract_y
_atom_site_fract_z
Li1 0.144 0.349 0.176
Li2 0.152 0.567 0.996
Li3 0.848 0.433 0.004
Li4 0.856 0.651 0.824
Fe1 0.249 0.733 0.773
Fe2 0.400 0.200 0.288
Fe3 0.600 0.800 0.712
Fe4 0.751 0.267 0.227
P1 0.012 0.650 0.394
P2 0.070 0.836 0.205
P3 0.191 0.069 0.909
P4 0.311 0.413 0.578
P5 0.444 0.709 0.335
P6 0.498 0.888 0.143
P7 0.502 0.112 0.857
P8 0.556 0.291 0.665
P9 0.689 0.587 0.422
P10 0.809 0.931 0.091
P11 0.930 0.164 0.795
P12 0.988 0.350 0.606
O1 0.003 0.676 0.056
O2 0.054 0.513 0.752
O3 0.071 0.103 0.790
O4 0.098 0.803 0.360
O5 0.130 0.677 0.546
O6 0.131 0.885 0.855
O7 0.136 0.317 0.576
O8 0.224 0.977 0.242
O9 0.228 0.181 0.079
O10 0.288 0.572 0.199
O11 0.300 0.360 0.410
O12 0.345 0.750 0.001
O13 0.350 0.143 0.874
O14 0.384 0.597 0.687
O15 0.406 0.337 0.670
O16 0.451 0.770 0.501
O17 0.471 0.935 0.824
O18 0.500 0.131 0.700
O19 0.500 0.869 0.300
O20 0.529 0.065 0.176
O21 0.549 0.230 0.499
O22 0.594 0.663 0.330
O23 0.616 0.403 0.313
O24 0.650 0.857 0.126
O25 0.655 0.250 0.999
O26 0.700 0.640 0.590
O27 0.712 0.428 0.801
O28 0.772 0.819 0.921
O29 0.776 0.023 0.758
O30 0.864 0.683 0.424
O31 0.869 0.115 0.145
O32 0.870 0.323 0.454
O33 0.902 0.197 0.640
O34 0.929 0.897 0.210
O35 0.946 0.487 0.248
O36 0.997 0.324 0.944
```

Principal peaks in the range 10° ≤ 2θ ≤ 90°, low angle first:
11.31 deg, I = 86.3
18.41 deg, I = 59.2
19.93 deg, I = 44.7
20.25 deg, I = 39.1
21.20 deg, I = 43.0
22.10 deg, I = 43.7
25.09 deg, I = 62.6
30.07 deg, I = 48.8
31.02 deg, I = 100.0
32.50 deg, I = 42.4


The following is a computed powder XRD pattern of MgFe3O3F3. It was derived from a structure optimized by DFT (GGA+U), using Cu Kα (weighted mean of Kα1 and Kα2).

```
data_MgFe3O3F3
_space_group_name_H-M_alt 'P 1'
_space_group_IT_number 1
_cell_length_a 5.332
_cell_length_b 5.333
_cell_length_c 5.636
_cell_angle_alpha 61.86
_cell_angle_beta 61.94
_cell_angle_gamma 60.01
loop_
_space_group_symop_operation_xyz
'x,y,z'
loop_
_atom_site_label
_atom_site_fract_x
_atom_site_fract_y
_atom_site_fract_z
Mg1 0.000 0.000 0.000
Fe1 0.190 0.190 0.430
Fe2 0.481 0.480 0.558
Fe3 0.727 0.727 0.819
O1 0.120 0.387 0.718
O2 0.387 0.775 0.717
O3 0.774 0.120 0.719
F1 0.274 0.884 0.226
F2 0.617 0.275 0.225
F3 0.886 0.616 0.225
```

Principal peaks in the range 10° ≤ 2θ ≤ 90°, low angle first:
18.76 deg, I = 24.3
22.98 deg, I = 22.2
31.81 deg, I = 100.0
33.61 deg, I = 71.2
38.76 deg, I = 54.6
46.92 deg, I = 30.4
47.01 deg, I = 15.2
51.72 deg, I = 15.4
58.94 deg, I = 24.7
60.10 deg, I = 41.8


The following is a computed powder XRD pattern of Li4TiCr2Ni3P6O24. It was derived from a structure optimized by DFT (GGA+U), using Cu Kα (weighted mean of Kα1 and Kα2).

```
data_Li4TiCr2Ni3P6O24
_space_group_name_H-M_alt 'P 1'
_space_group_IT_number 1
_cell_length_a 8.528
_cell_length_b 8.552
_cell_length_c 8.730
_cell_angle_alpha 61.21
_cell_angle_beta 61.17
_cell_angle_gamma 61.75
loop_
_space_group_symop_operation_xyz
'x,y,z'
loop_
_atom_site_label
_atom_site_fract_x
_atom_site_fract_y
_atom_site_fract_z
Li1 0.000 0.000 0.000
Li2 0.065 0.515 0.899
Li3 0.511 0.850 0.106
Li4 0.718 0.293 0.443
Ti1 0.511 0.303 0.895
Cr1 0.369 0.145 0.733
Cr2 0.860 0.642 0.258
Ni1 0.007 0.797 0.389
Ni2 0.214 0.002 0.602
Ni3 0.712 0.502 0.097
P1 0.112 0.193 0.198
P2 0.316 0.703 0.997
P3 0.401 0.604 0.502
P4 0.611 0.100 0.293
P5 0.815 0.910 0.791
P6 0.921 0.405 0.700
O1 0.068 0.043 0.190
O2 0.108 0.241 0.682
O3 0.117 0.704 0.146
O4 0.177 0.128 0.356
O5 0.250 0.627 0.442
O6 0.259 0.260 0.998
O7 0.288 0.900 0.846
O8 0.350 0.741 0.592
O9 0.380 0.540 0.924
O10 0.454 0.390 0.642
O11 0.460 0.062 0.481
O12 0.463 0.674 0.066
O13 0.541 0.165 0.126
O14 0.596 0.606 0.334
O15 0.602 0.053 0.840
O16 0.671 0.256 0.267
O17 0.749 0.336 0.762
O18 0.782 0.919 0.269
O19 0.803 0.734 0.971
O20 0.852 0.890 0.612
O21 0.893 0.460 0.856
O22 0.915 0.566 0.518
O23 0.940 0.383 0.203
O24 0.956 0.977 0.785
```

Principal peaks in the range 10° ≤ 2θ ≤ 90°, low angle first:
20.23 deg, I = 100.0
23.68 deg, I = 42.6
24.01 deg, I = 40.4
24.24 deg, I = 40.0
31.50 deg, I = 14.6
32.44 deg, I = 42.0
32.90 deg, I = 35.8
33.28 deg, I = 33.1
35.38 deg, I = 39.2
35.48 deg, I = 20.2


The following is a computed powder XRD pattern of ZnFeBiO5. It was derived from a structure optimized by DFT (GGA+U), using Cu Kα (weighted mean of Kα1 and Kα2).

```
data_ZnFeBiO5
_space_group_name_H-M_alt 'P 1'
_space_group_IT_number 1
_cell_length_a 5.349
_cell_length_b 10.499
_cell_length_c 8.527
_cell_angle_alpha 90.00
_cell_angle_beta 108.90
_cell_angle_gamma 90.00
loop_
_space_group_symop_operation_xyz
'x,y,z'
loop_
_atom_site_label
_atom_site_fract_x
_atom_site_fract_y
_atom_site_fract_z
Zn1 0.028 0.099 0.163
Zn2 0.028 0.401 0.663
Zn3 0.972 0.599 0.337
Zn4 0.972 0.901 0.837
Fe1 0.365 0.612 0.058
Fe2 0.365 0.888 0.558
Fe3 0.635 0.112 0.442
Fe4 0.635 0.388 0.942
Bi1 0.464 0.103 0.843
Bi2 0.464 0.397 0.343
Bi3 0.536 0.603 0.657
Bi4 0.536 0.897 0.157
O1 0.176 0.529 0.190
O2 0.176 0.971 0.690
O3 0.216 0.719 0.503
O4 0.216 0.781 0.003
O5 0.262 0.044 0.016
O6 0.262 0.456 0.516
O7 0.318 0.209 0.304
O8 0.318 0.291 0.804
O9 0.369 0.547 0.846
O10 0.369 0.953 0.346
O11 0.631 0.047 0.654
O12 0.631 0.453 0.154
O13 0.682 0.709 0.196
O14 0.682 0.791 0.696
O15 0.738 0.544 0.484
O16 0.738 0.956 0.984
O17 0.784 0.219 0.997
O18 0.784 0.281 0.497
O19 0.824 0.029 0.310
O20 0.824 0.471 0.810
```

Principal peaks in the range 10° ≤ 2θ ≤ 90°, low angle first:
13.84 deg, I = 43.1
17.52 deg, I = 64.6
23.63 deg, I = 25.0
24.36 deg, I = 34.9
24.84 deg, I = 89.9
29.15 deg, I = 100.0
34.43 deg, I = 27.7
34.79 deg, I = 47.0
55.53 deg, I = 26.1
58.29 deg, I = 27.4